The following is a simulated PXRD pattern of Li5Cr2Co5O12. It was derived from a PBE+U-relaxed structure, using Cu Kα (weighted mean of Kα1 and Kα2).
Lines closer than 0.1° are merged.

Crystal structure
Cell lengths 5.095, 5.095, 9.809 Å; angles 94.49, 94.49, 119.35 degrees
Atoms (fractional coordinates):
Li 0.000 0.000 0.000
Li 0.079 0.406 0.242
Li 0.246 0.257 0.758
Li 0.594 0.921 0.758
Li 0.743 0.754 0.242
Cr 0.161 0.839 0.500
Cr 0.666 0.334 0.000
Co 0.330 0.670 0.000
Co 0.404 0.082 0.244
Co 0.497 0.503 0.500
Co 0.826 0.174 0.500
Co 0.918 0.596 0.756
O 0.044 0.687 0.116
O 0.135 0.132 0.379
O 0.197 0.550 0.618
O 0.313 0.956 0.884
O 0.383 0.378 0.119
O 0.450 0.803 0.382
O 0.517 0.212 0.616
O 0.622 0.617 0.881
O 0.685 0.042 0.123
O 0.788 0.483 0.384
O 0.868 0.865 0.621
O 0.958 0.315 0.877

Most intense lines, 10° ≤ 2θ ≤ 90°, low angle first:
2θ = 18.3°, I 38
2θ = 20.2°, I 29
2θ = 21.0°, I 23
2θ = 23.3°, I 28
2θ = 37.3°, I 38
2θ = 42.7°, I 58
2θ = 43.6°, I 100
2θ = 62.5°, I 28
2θ = 62.8°, I 29
2θ = 79.5°, I 20